Computed PXRD pattern of Sc2Cd5 for Cu Kα (weighted mean of Kα1 and Kα2), from a cell relaxed with PBE.
Intensities are scaled so that the largest is 100.

The 10 most intense peaks (15° ≤ 2θ ≤ 90°), in order of rising 2θ:
2θ = 22.75°, I = 40; 2θ = 31.51°, I = 30; 2θ = 35.08°, I = 26; 2θ = 36.20°, I = 100; 2θ = 37.79°, I = 99; 2θ = 38.73°, I = 92; 2θ = 58.86°, I = 21; 2θ = 65.52°, I = 25; 2θ = 67.43°, I = 22; 2θ = 70.49°, I = 26

Crystal structure
Lattice parameters (Å, degrees): 7.211 13.681 6.341 90.00 90.00 90.00
Space group Ibam (No. 72)
Symmetry-distinct sites (fractional):
Sc 0.186 0.099 0.000 (multiplicity 8)
Cd 0.000 0.266 0.250 (multiplicity 8)
Cd 0.000 0.500 0.250 (multiplicity 4)
Cd 0.227 0.120 0.500 (multiplicity 8)